(1)
For KNiPAu, the PBE geometry in Alexandria gives the theoretical powder XRD pattern in this record (λ = 1.5418 Å (Cu Kα)).
Peak positions follow from Bragg's law for the DFT cell and can differ from measured ones.

Atomic structure:
```
data_KNiPAu
_chemical_formula_sum 'K2 Ni2 P2 Au2'
_cell_length_a 3.907
_cell_length_b 3.907
_cell_length_c 11.760
_cell_angle_alpha 90.00
_cell_angle_beta 90.00
_cell_angle_gamma 90.00
_space_group_name_H-M_alt 'P 1'
_space_group_IT_number 1
_space_group_name_Hall 'P 1'
loop_
_atom_site_label
_atom_site_type_symbol
_atom_site_fract_x
_atom_site_fract_y
_atom_site_fract_z
_atom_site_occupancy
K1 K 0.250 0.250 0.244 1
K2 K 0.750 0.750 0.756 1
Ni1 Ni 0.250 0.750 0.500 1
Ni2 Ni 0.750 0.250 0.500 1
P1 P 0.250 0.250 0.592 1
P2 P 0.750 0.750 0.408 1
Au1 Au 0.250 0.750 0.000 1
Au2 Au 0.750 0.250 0.000 1
```

Largest 10 diffraction maxima, in order of rising 2θ, 2θ from 10° to 80°:
two_theta  I/Imax
15.07  100
30.40  28
32.40  28
33.32  27
35.92  77
45.03  29
46.49  24
49.15  21
56.57  19
57.67  24

***

(2)
For La4Tb5Er, the PBE geometry in Alexandria gives the theoretical powder XRD pattern in this record (λ = 1.5418 Å (Cu Kα)).
Peak positions follow from Bragg's law for the DFT cell and can differ from measured ones.

Atomic structure:
```
data_La4Tb5Er
_chemical_formula_sum 'La4 Tb5 Er1'
_cell_length_a 8.803
_cell_length_b 8.803
_cell_length_c 11.461
_cell_angle_alpha 90.17
_cell_angle_beta 90.17
_cell_angle_gamma 23.33
_space_group_name_H-M_alt 'P 1'
_space_group_IT_number 1
_space_group_name_Hall 'P 1'
loop_
_atom_site_label
_atom_site_type_symbol
_atom_site_fract_x
_atom_site_fract_y
_atom_site_fract_z
_atom_site_occupancy
La1 La 0.032 0.032 0.249 1
La2 La 0.338 0.338 0.250 1
La3 La 0.662 0.662 0.750 1
La4 La 0.968 0.968 0.751 1
Tb1 Tb 0.172 0.172 0.048 1
Tb2 Tb 0.173 0.173 0.450 1
Tb3 Tb 0.500 0.500 0.500 1
Tb4 Tb 0.827 0.827 0.550 1
Tb5 Tb 0.828 0.828 0.952 1
Er1 Er 0.500 0.500 0.000 1
```

Largest 10 diffraction maxima, in order of rising 2θ, 2θ from 10° to 80°:
two_theta  I/Imax
25.50  18
26.72  21
31.16  49
31.29  27
33.48  100
45.47  11
47.47  15
51.33  10
56.90  13
61.28  18

***

(3)
For BeIn2RuBr, the PBE geometry in Alexandria gives the theoretical powder XRD pattern in this record (λ = 1.5418 Å (Cu Kα)).
Peak positions follow from Bragg's law for the DFT cell and can differ from measured ones.

Atomic structure:
```
data_BeIn2RuBr
_chemical_formula_sum 'Be1 In2 Ru1 Br1'
_cell_length_a 4.743
_cell_length_b 4.743
_cell_length_c 5.085
_cell_angle_alpha 90.00
_cell_angle_beta 90.00
_cell_angle_gamma 90.00
_space_group_name_H-M_alt 'P 1'
_space_group_IT_number 1
_space_group_name_Hall 'P 1'
loop_
_atom_site_label
_atom_site_type_symbol
_atom_site_fract_x
_atom_site_fract_y
_atom_site_fract_z
_atom_site_occupancy
Be1 Be 0.000 0.000 0.000 1
In1 In 0.000 0.500 0.000 1
In2 In 0.500 0.000 0.000 1
Ru1 Ru 0.500 0.500 0.500 1
Br1 Br 0.000 0.000 0.500 1
```

Largest 10 diffraction maxima, in order of rising 2θ, 2θ from 10° to 80°:
two_theta  I/Imax
17.44  2
31.97  100
35.30  20
37.94  33
52.79  25
54.74  11
61.27  15
64.81  25
66.83  12
74.65  2

***

(4)
For Pr2Nd3Dy, the PBE geometry in Alexandria gives the theoretical powder XRD pattern in this record (λ = 1.5418 Å (Cu Kα)).
Peak positions follow from Bragg's law for the DFT cell and can differ from measured ones.

Atomic structure:
```
data_Pr2Nd3Dy
_chemical_formula_sum 'Pr4 Nd6 Dy2'
_cell_length_a 6.854
_cell_length_b 18.000
_cell_length_c 3.457
_cell_angle_alpha 90.00
_cell_angle_beta 90.00
_cell_angle_gamma 90.00
_space_group_name_H-M_alt 'P 1'
_space_group_IT_number 1
_space_group_name_Hall 'P 1'
loop_
_atom_site_label
_atom_site_type_symbol
_atom_site_fract_x
_atom_site_fract_y
_atom_site_fract_z
_atom_site_occupancy
Pr1 Pr 0.236 0.151 0.000 1
Pr2 Pr 0.264 0.651 0.500 1
Pr3 Pr 0.736 0.349 0.500 1
Pr4 Pr 0.764 0.849 0.000 1
Nd1 Nd 0.000 0.000 0.500 1
Nd2 Nd 0.243 0.322 0.500 1
Nd3 Nd 0.257 0.822 0.000 1
Nd4 Nd 0.500 0.500 0.000 1
Nd5 Nd 0.743 0.178 0.000 1
Nd6 Nd 0.757 0.678 0.500 1
Dy1 Dy 0.000 0.500 0.500 1
Dy2 Dy 0.500 0.000 0.000 1
```

Largest 10 diffraction maxima, in order of rising 2θ, 2θ from 10° to 80°:
two_theta  I/Imax
26.25  21
27.86  63
28.93  15
29.80  100
30.62  28
32.85  45
35.26  21
39.97  50
52.95  18
62.42  23

***

(5)
For BTeHRhAu, the PBE geometry in Alexandria gives the theoretical powder XRD pattern in this record (λ = 1.5418 Å (Cu Kα)).
Peak positions follow from Bragg's law for the DFT cell and can differ from measured ones.

Atomic structure:
```
data_BTeHRhAu
_chemical_formula_sum 'B1 Te1 H1 Rh1 Au1'
_cell_length_a 4.676
_cell_length_b 4.676
_cell_length_c 6.209
_cell_angle_alpha 106.85
_cell_angle_beta 106.85
_cell_angle_gamma 43.79
_space_group_name_H-M_alt 'P 1'
_space_group_IT_number 1
_space_group_name_Hall 'P 1'
loop_
_atom_site_label
_atom_site_type_symbol
_atom_site_fract_x
_atom_site_fract_y
_atom_site_fract_z
_atom_site_occupancy
B1 B 0.000 0.000 0.000 1
Te1 Te 0.514 0.514 0.537 1
H1 H 0.145 0.145 0.110 1
Rh1 Rh 0.856 0.856 0.688 1
Au1 Au 0.374 0.374 0.066 1
```

Largest 10 diffraction maxima, in order of rising 2θ, 2θ from 10° to 80°:
two_theta  I/Imax
21.56  98
22.12  33
27.78  45
30.03  100
30.30  53
33.35  25
38.86  53
40.84  67
44.14  28
48.33  41

***

(6)
For PmGa2Cu10, the PBE geometry in Alexandria gives the theoretical powder XRD pattern in this record (λ = 1.5418 Å (Cu Kα)).
Peak positions follow from Bragg's law for the DFT cell and can differ from measured ones.

Atomic structure:
```
data_PmGa2Cu10
_chemical_formula_sum 'Pm1 Ga2 Cu10'
_cell_length_a 8.622
_cell_length_b 6.646
_cell_length_c 6.504
_cell_angle_alpha 81.93
_cell_angle_beta 49.75
_cell_angle_gamma 48.32
_space_group_name_H-M_alt 'P 1'
_space_group_IT_number 1
_space_group_name_Hall 'P 1'
loop_
_atom_site_label
_atom_site_type_symbol
_atom_site_fract_x
_atom_site_fract_y
_atom_site_fract_z
_atom_site_occupancy
Pm1 Pm 0.000 0.000 0.000 1
Ga1 Ga 0.000 0.500 0.000 1
Ga2 Ga 0.500 0.000 0.500 1
Cu1 Cu 0.000 0.000 0.500 1
Cu2 Cu 0.007 0.644 0.356 1
Cu3 Cu 0.277 0.503 0.497 1
Cu4 Cu 0.356 0.993 0.007 1
Cu5 Cu 0.497 0.723 0.277 1
Cu6 Cu 0.500 0.500 0.000 1
Cu7 Cu 0.503 0.277 0.723 1
Cu8 Cu 0.644 0.007 0.993 1
Cu9 Cu 0.723 0.497 0.503 1
Cu10 Cu 0.993 0.356 0.644 1
```

Largest 10 diffraction maxima, in order of rising 2θ, 2θ from 10° to 80°:
two_theta  I/Imax
36.20  61
36.48  22
41.60  65
41.93  82
42.27  100
42.42  67
47.22  28
47.70  33
76.82  28
77.51  23

***

(7)
For Ga4SnRh, the PBE geometry in Alexandria gives the theoretical powder XRD pattern in this record (λ = 1.5418 Å (Cu Kα)).
Peak positions follow from Bragg's law for the DFT cell and can differ from measured ones.

Atomic structure:
```
data_Ga4SnRh
_chemical_formula_sum 'Ga8 Sn2 Rh2'
_cell_length_a 5.572
_cell_length_b 5.704
_cell_length_c 7.819
_cell_angle_alpha 83.16
_cell_angle_beta 83.14
_cell_angle_gamma 79.97
_space_group_name_H-M_alt 'P 1'
_space_group_IT_number 1
_space_group_name_Hall 'P 1'
loop_
_atom_site_label
_atom_site_type_symbol
_atom_site_fract_x
_atom_site_fract_y
_atom_site_fract_z
_atom_site_occupancy
Ga1 Ga 0.000 0.000 0.000 1
Ga2 Ga 0.006 0.606 0.634 1
Ga3 Ga 0.061 0.467 0.993 1
Ga4 Ga 0.069 0.073 0.628 1
Ga5 Ga 0.474 0.047 0.993 1
Ga6 Ga 0.519 0.521 0.551 1
Ga7 Ga 0.548 0.550 0.076 1
Ga8 Ga 0.595 0.025 0.634 1
Sn1 Sn 0.296 0.255 0.323 1
Sn2 Sn 0.771 0.817 0.304 1
Rh1 Rh 0.329 0.744 0.813 1
Rh2 Rh 0.740 0.328 0.815 1
```

Largest 10 diffraction maxima, in order of rising 2θ, 2θ from 10° to 80°:
two_theta  I/Imax
11.46  33
22.18  36
25.37  41
27.19  91
37.79  42
37.90  36
38.42  44
40.26  26
41.76  51
42.40  100

***

(8)
For CrAgCl, the PBE geometry in Alexandria gives the theoretical powder XRD pattern in this record (λ = 1.5418 Å (Cu Kα)).
Peak positions follow from Bragg's law for the DFT cell and can differ from measured ones.

Atomic structure:
```
data_CrAgCl
_chemical_formula_sum 'Cr1 Ag1 Cl1'
_cell_length_a 6.857
_cell_length_b 6.603
_cell_length_c 3.183
_cell_angle_alpha 80.81
_cell_angle_beta 71.91
_cell_angle_gamma 27.28
_space_group_name_H-M_alt 'P 1'
_space_group_IT_number 1
_space_group_name_Hall 'P 1'
loop_
_atom_site_label
_atom_site_type_symbol
_atom_site_fract_x
_atom_site_fract_y
_atom_site_fract_z
_atom_site_occupancy
Cr1 Cr 0.000 0.000 0.000 1
Ag1 Ag 0.658 0.658 0.342 1
Cl1 Cl 0.375 0.375 0.625 1
```

Largest 10 diffraction maxima, in order of rising 2θ, 2θ from 10° to 80°:
two_theta  I/Imax
13.96  31
28.13  15
30.66  26
34.45  34
36.76  100
42.76  11
46.92  13
49.77  11
61.94  11
63.23  18

***

(9)
For La3Dy6Tm, the PBE geometry in Alexandria gives the theoretical powder XRD pattern in this record (λ = 1.5418 Å (Cu Kα)).
Peak positions follow from Bragg's law for the DFT cell and can differ from measured ones.

Atomic structure:
```
data_La3Dy6Tm
_chemical_formula_sum 'La6 Dy12 Tm2'
_cell_length_a 11.016
_cell_length_b 11.016
_cell_length_c 6.369
_cell_angle_alpha 90.00
_cell_angle_beta 90.00
_cell_angle_gamma 119.89
_space_group_name_H-M_alt 'P 1'
_space_group_IT_number 1
_space_group_name_Hall 'P 1'
loop_
_atom_site_label
_atom_site_type_symbol
_atom_site_fract_x
_atom_site_fract_y
_atom_site_fract_z
_atom_site_occupancy
La1 La 0.113 0.887 0.500 1
La2 La 0.213 0.441 0.102 1
La3 La 0.441 0.213 0.602 1
La4 La 0.559 0.787 0.102 1
La5 La 0.787 0.559 0.602 1
La6 La 0.887 0.113 0.000 1
Dy1 Dy 0.030 0.452 0.700 1
Dy2 Dy 0.122 0.215 0.519 1
Dy3 Dy 0.215 0.122 0.019 1
Dy4 Dy 0.226 0.774 0.927 1
Dy5 Dy 0.452 0.030 0.200 1
Dy6 Dy 0.462 0.538 0.691 1
Dy7 Dy 0.538 0.462 0.191 1
Dy8 Dy 0.548 0.970 0.700 1
Dy9 Dy 0.774 0.226 0.427 1
Dy10 Dy 0.785 0.878 0.519 1
Dy11 Dy 0.878 0.785 0.019 1
Dy12 Dy 0.970 0.548 0.200 1
Tm1 Tm 0.305 0.695 0.447 1
Tm2 Tm 0.695 0.305 0.947 1
```

Largest 10 diffraction maxima, in order of rising 2θ, 2θ from 10° to 80°:
two_theta  I/Imax
28.03  23
28.43  68
29.57  18
31.44  100
32.46  28
33.84  69
43.72  14
49.63  15
49.84  18
57.94  13

***

(10)
For Pr2Pd5Au5, the PBE geometry in Alexandria gives the theoretical powder XRD pattern in this record (λ = 1.5418 Å (Cu Kα)).
Peak positions follow from Bragg's law for the DFT cell and can differ from measured ones.

Atomic structure:
```
data_Pr2Pd5Au5
_chemical_formula_sum 'Pr2 Pd5 Au5'
_cell_length_a 4.544
_cell_length_b 5.527
_cell_length_c 9.581
_cell_angle_alpha 90.00
_cell_angle_beta 90.00
_cell_angle_gamma 90.00
_space_group_name_H-M_alt 'P 1'
_space_group_IT_number 1
_space_group_name_Hall 'P 1'
loop_
_atom_site_label
_atom_site_type_symbol
_atom_site_fract_x
_atom_site_fract_y
_atom_site_fract_z
_atom_site_occupancy
Pr1 Pr 0.000 0.000 0.000 1
Pr2 Pr 0.000 0.500 0.500 1
Pd1 Pd 0.500 0.000 0.500 1
Pd2 Pd 0.500 0.249 0.251 1
Pd3 Pd 0.500 0.249 0.749 1
Pd4 Pd 0.500 0.751 0.251 1
Pd5 Pd 0.500 0.751 0.749 1
Au1 Au 0.000 0.000 0.333 1
Au2 Au 0.000 0.000 0.667 1
Au3 Au 0.000 0.500 0.172 1
Au4 Au 0.000 0.500 0.828 1
Au5 Au 0.500 0.500 0.000 1
```

Largest 10 diffraction maxima, in order of rising 2θ, 2θ from 10° to 80°:
two_theta  I/Imax
18.53  22
32.39  30
37.57  12
38.10  100
39.67  28
42.69  30
52.11  16
61.59  25
67.80  17
70.95  18

***

(11)
For CaAc2NdAs4, the PBE geometry in Alexandria gives the theoretical powder XRD pattern in this record (λ = 1.5418 Å (Cu Kα)).
Peak positions follow from Bragg's law for the DFT cell and can differ from measured ones.

Atomic structure:
```
data_CaAc2NdAs4
_chemical_formula_sum 'Ca1 Ac2 Nd1 As4'
_cell_length_a 7.589
_cell_length_b 4.441
_cell_length_c 7.689
_cell_angle_alpha 90.00
_cell_angle_beta 109.77
_cell_angle_gamma 90.00
_space_group_name_H-M_alt 'P 1'
_space_group_IT_number 1
_space_group_name_Hall 'P 1'
loop_
_atom_site_label
_atom_site_type_symbol
_atom_site_fract_x
_atom_site_fract_y
_atom_site_fract_z
_atom_site_occupancy
Ca1 Ca 0.000 0.000 0.000 1
Ac1 Ac 0.500 0.000 0.500 1
Ac2 Ac 0.500 0.500 0.000 1
Nd1 Nd 0.000 0.500 0.500 1
As1 As 0.236 0.000 0.743 1
As2 As 0.238 0.500 0.248 1
As3 As 0.762 0.500 0.752 1
As4 As 0.764 0.000 0.257 1
```

Largest 10 diffraction maxima, in order of rising 2θ, 2θ from 10° to 80°:
two_theta  I/Imax
23.51  13
24.60  16
28.58  100
40.64  39
41.07  37
50.43  21
59.15  13
66.68  18
67.30  17
74.24  13

***

(12)
For LaCe2Rh2, the PBE geometry in Alexandria gives the theoretical powder XRD pattern in this record (λ = 1.5418 Å (Cu Kα)).
Peak positions follow from Bragg's law for the DFT cell and can differ from measured ones.

Atomic structure:
```
data_LaCe2Rh2
_chemical_formula_sum 'La1 Ce2 Rh2'
_cell_length_a 4.506
_cell_length_b 4.506
_cell_length_c 5.988
_cell_angle_alpha 90.00
_cell_angle_beta 90.00
_cell_angle_gamma 107.48
_space_group_name_H-M_alt 'P 1'
_space_group_IT_number 1
_space_group_name_Hall 'P 1'
loop_
_atom_site_label
_atom_site_type_symbol
_atom_site_fract_x
_atom_site_fract_y
_atom_site_fract_z
_atom_site_occupancy
La1 La 0.000 0.000 0.000 1
Ce1 Ce 0.193 0.807 0.500 1
Ce2 Ce 0.807 0.193 0.500 1
Rh1 Rh 0.500 0.500 0.250 1
Rh2 Rh 0.500 0.500 0.750 1
```

Largest 10 diffraction maxima, in order of rising 2θ, 2θ from 10° to 80°:
two_theta  I/Imax
14.79  23
28.74  58
33.63  62
36.58  100
38.98  17
40.93  19
43.75  44
44.81  34
62.05  32
74.77  24